This entry pairs a crystal structure of GdWBrO4 with its computed powder diffractogram. Radiation: λ = 1.5418 Å (Cu Kα). Structure: the GGA+U geometry in the Materials Project.
Intensities are scaled so that the largest is 100.

Largest 6 diffraction maxima, in order of rising 2θ, 15 to 90 degrees two-theta:
| 2θ/deg | Rel. int. |
| --- | --- |
| 24.10 | 100 |
| 25.26 | 53 |
| 26.93 | 30 |
| 29.14 | 27 |
| 32.29 | 27 |
| 34.91 | 27 |

Structural model:
```
data_GdWBrO4
_chemical_formula_sum 'Gd4 W4 Br4 O16'
_space_group_name_H-M_alt 'P -1'
_space_group_IT_number 2
_space_group_name_Hall '-P 1'
_cell_length_a 7.018
_cell_length_b 7.402
_cell_length_c 11.244
_cell_angle_alpha 105.59
_cell_angle_beta 107.62
_cell_angle_gamma 92.87
loop_
_atom_site_label
_atom_site_fract_x
_atom_site_fract_y
_atom_site_fract_z
_atom_site_occupancy
Gd1 0.112 0.348 0.231 1
Gd2 0.149 0.122 0.730 1
W1 0.232 0.814 0.134 1
W2 0.271 0.591 0.628 1
Br1 0.239 0.008 0.482 1
Br2 0.305 0.283 0.019 1
O1 0.107 0.021 0.183 1
O2 0.126 0.649 0.200 1
O3 0.156 0.795 0.701 1
O4 0.166 0.729 0.958 1
O5 0.171 0.504 0.451 1
O6 0.210 0.415 0.701 1
O7 0.459 0.355 0.326 1
O8 0.497 0.133 0.793 1
```

This entry pairs a crystal structure of Li6MnO6 with its computed powder diffractogram. Radiation: λ = 1.5418 Å (Cu Kα). Structure: the GGA+U geometry in the Materials Project.
Intensities are scaled so that the largest is 100.

Largest 6 diffraction maxima, in order of rising 2θ, 15 to 90 degrees two-theta:
| 2θ/deg | Rel. int. |
| --- | --- |
| 18.96 | 100 |
| 19.06 | 50 |
| 20.61 | 23 |
| 22.45 | 87 |
| 37.39 | 40 |
| 37.54 | 20 |

Structural model:
```
data_Li6MnO6
_chemical_formula_sum 'Li6 Mn1 O6'
_space_group_name_H-M_alt 'P -1'
_space_group_IT_number 2
_space_group_name_Hall '-P 1'
_cell_length_a 5.435
_cell_length_b 5.458
_cell_length_c 5.467
_cell_angle_alpha 64.06
_cell_angle_beta 64.05
_cell_angle_gamma 64.11
loop_
_atom_site_label
_atom_site_fract_x
_atom_site_fract_y
_atom_site_fract_z
_atom_site_occupancy
Li1 0.006 0.422 0.286 1
Li2 0.218 0.995 0.078 1
Li3 0.423 0.785 0.507 1
Mn1 0.500 0.500 0.000 1
O1 0.145 0.701 0.909 1
O2 0.297 0.594 0.352 1
O3 0.410 0.146 0.205 1
```

This entry pairs a crystal structure of ErMn2O5 with its computed powder diffractogram. Radiation: λ = 1.5418 Å (Cu Kα). Structure: the GGA+U geometry in the Materials Project.
Intensities are scaled so that the largest is 100.

Largest 6 diffraction maxima, in order of rising 2θ, 15 to 90 degrees two-theta:
| 2θ/deg | Rel. int. |
| --- | --- |
| 15.33 | 45 |
| 28.75 | 68 |
| 30.81 | 100 |
| 33.85 | 39 |
| 41.23 | 29 |
| 54.97 | 27 |

Structural model:
```
data_ErMn2O5
_chemical_formula_sum 'Er4 Mn8 O20'
_space_group_name_H-M_alt 'P b a m'
_space_group_IT_number 55
_space_group_name_Hall '-P 2 2ab'
_cell_length_a 7.302
_cell_length_b 8.526
_cell_length_c 5.779
_cell_angle_alpha 90.00
_cell_angle_beta 90.00
_cell_angle_gamma 90.00
loop_
_atom_site_label
_atom_site_fract_x
_atom_site_fract_y
_atom_site_fract_z
_atom_site_occupancy
Er1 0.137 0.170 0.000 1
Mn1 0.000 0.500 0.253 1
Mn2 0.088 0.848 0.500 1
O1 0.000 0.000 0.269 1
O2 0.109 0.707 0.239 1
O3 0.150 0.428 0.500 1
O4 0.165 0.441 0.000 1
```

This entry pairs a crystal structure of Li2Cr3FeO8 with its computed powder diffractogram. Radiation: λ = 1.5418 Å (Cu Kα). Structure: the GGA+U geometry in the Materials Project.
Intensities are scaled so that the largest is 100.

Largest 6 diffraction maxima, in order of rising 2θ, 15 to 90 degrees two-theta:
| 2θ/deg | Rel. int. |
| --- | --- |
| 18.03 | 100 |
| 35.68 | 11 |
| 35.77 | 11 |
| 36.13 | 11 |
| 43.06 | 38 |
| 43.57 | 18 |

Structural model:
```
data_Li2Cr3FeO8
_chemical_formula_sum 'Li2 Cr3 Fe1 O8'
_space_group_name_H-M_alt 'P -1'
_space_group_IT_number 2
_space_group_name_Hall '-P 1'
_cell_length_a 5.841
_cell_length_b 5.858
_cell_length_c 5.964
_cell_angle_alpha 90.66
_cell_angle_beta 119.12
_cell_angle_gamma 119.37
loop_
_atom_site_label
_atom_site_fract_x
_atom_site_fract_y
_atom_site_fract_z
_atom_site_occupancy
Li1 0.000 0.000 0.000 1
Li2 0.000 0.500 0.000 1
Cr1 0.000 0.000 0.500 1
Cr2 0.000 0.500 0.500 1
Cr3 0.500 0.000 0.500 1
Fe1 0.500 0.500 0.500 1
O1 0.041 0.269 0.288 1
O2 0.044 0.770 0.289 1
O3 0.483 0.242 0.703 1
O4 0.484 0.733 0.707 1
```

This entry pairs a crystal structure of CaNiF5 with its computed powder diffractogram. Radiation: λ = 1.5418 Å (Cu Kα). Structure: the GGA+U geometry in the Materials Project.
Intensities are scaled so that the largest is 100.

Largest 6 diffraction maxima, in order of rising 2θ, 15 to 90 degrees two-theta:
| 2θ/deg | Rel. int. |
| --- | --- |
| 19.32 | 56 |
| 24.70 | 100 |
| 26.25 | 97 |
| 30.49 | 30 |
| 44.27 | 36 |
| 47.23 | 25 |

Structural model:
```
data_CaNiF5
_chemical_formula_sum 'Ca4 Ni4 F20'
_space_group_name_H-M_alt 'P 1 21/c 1'
_space_group_IT_number 14
_space_group_name_Hall '-P 2ybc'
_cell_length_a 5.503
_cell_length_b 10.066
_cell_length_c 7.698
_cell_angle_alpha 90.00
_cell_angle_beta 110.25
_cell_angle_gamma 90.00
loop_
_atom_site_label
_atom_site_fract_x
_atom_site_fract_y
_atom_site_fract_z
_atom_site_occupancy
Ca1 0.033 0.022 0.257 1
Ni1 0.390 0.247 0.599 1
F1 0.113 0.120 0.556 1
F2 0.145 0.114 0.006 1
F3 0.335 0.637 0.361 1
F4 0.350 0.201 0.338 1
F5 0.383 0.607 0.811 1
```

This entry pairs a crystal structure of LiCrPO4F with its computed powder diffractogram. Radiation: λ = 1.5418 Å (Cu Kα). Structure: the GGA+U geometry in the Materials Project.
Intensities are scaled so that the largest is 100.

Largest 6 diffraction maxima, in order of rising 2θ, 15 to 90 degrees two-theta:
| 2θ/deg | Rel. int. |
| --- | --- |
| 15.48 | 100 |
| 16.99 | 34 |
| 26.77 | 51 |
| 28.01 | 32 |
| 30.15 | 95 |
| 32.02 | 53 |

Structural model:
```
data_LiCrPO4F
_chemical_formula_sum 'Li8 Cr8 P8 O32 F8'
_space_group_name_H-M_alt 'C 1 c 1'
_space_group_IT_number 9
_space_group_name_Hall 'C -2yc'
_cell_length_a 13.073
_cell_length_b 6.338
_cell_length_c 9.561
_cell_angle_alpha 90.00
_cell_angle_beta 118.90
_cell_angle_gamma 90.00
loop_
_atom_site_label
_atom_site_fract_x
_atom_site_fract_y
_atom_site_fract_z
_atom_site_occupancy
Li1 0.000 0.109 0.000 1
Li2 0.072 0.258 0.319 1
Cr1 0.217 0.337 0.845 1
Cr2 0.287 0.132 0.193 1
P1 0.312 0.381 0.639 1
P2 0.467 0.112 0.022 1
O1 0.006 0.200 0.462 1
O2 0.064 0.464 0.687 1
O3 0.210 0.435 0.472 1
O4 0.267 0.182 0.693 1
O5 0.306 0.452 0.260 1
O6 0.357 0.183 0.041 1
O7 0.426 0.361 0.642 1
O8 0.429 0.082 0.406 1
F1 0.150 0.167 0.962 1
F2 0.166 0.114 0.249 1
```

This entry pairs a crystal structure of Li9Mn2Co5O16 with its computed powder diffractogram. Radiation: λ = 1.5418 Å (Cu Kα). Structure: the GGA+U geometry in the Materials Project.
Intensities are scaled so that the largest is 100.

Largest 6 diffraction maxima, in order of rising 2θ, 15 to 90 degrees two-theta:
| 2θ/deg | Rel. int. |
| --- | --- |
| 18.36 | 100 |
| 35.91 | 26 |
| 43.25 | 28 |
| 43.56 | 56 |
| 62.95 | 15 |
| 63.16 | 15 |

Structural model:
```
data_Li9Mn2Co5O16
_chemical_formula_sum 'Li18 Mn4 Co10 O32'
_space_group_name_H-M_alt 'C 1 2/m 1'
_space_group_IT_number 12
_space_group_name_Hall '-C 2y'
_cell_length_a 12.906
_cell_length_b 2.927
_cell_length_c 15.314
_cell_angle_alpha 90.00
_cell_angle_beta 92.40
_cell_angle_gamma 90.00
loop_
_atom_site_label
_atom_site_fract_x
_atom_site_fract_y
_atom_site_fract_z
_atom_site_occupancy
Li1 0.000 0.000 0.000 1
Li2 0.061 0.000 0.184 1
Li3 0.061 0.500 0.686 1
Li4 0.183 0.500 0.063 1
Li5 0.188 0.000 0.562 1
Mn1 0.119 0.500 0.878 1
Co1 0.000 0.500 0.500 1
Co2 0.126 0.000 0.375 1
Co3 0.250 0.000 0.751 1
O1 0.018 0.500 0.098 1
O2 0.027 0.000 0.588 1
O3 0.099 0.000 0.791 1
O4 0.100 0.500 0.288 1
O5 0.152 0.500 0.463 1
O6 0.154 0.000 0.958 1
O7 0.222 0.500 0.663 1
O8 0.230 0.000 0.161 1
```

Copy entry 2 word for word.
This entry pairs a crystal structure of Li6MnO6 with its computed powder diffractogram. Radiation: λ = 1.5418 Å (Cu Kα). Structure: the GGA+U geometry in the Materials Project.
Intensities are scaled so that the largest is 100.

Largest 6 diffraction maxima, in order of rising 2θ, 15 to 90 degrees two-theta:
| 2θ/deg | Rel. int. |
| --- | --- |
| 18.96 | 100 |
| 19.06 | 50 |
| 20.61 | 23 |
| 22.45 | 87 |
| 37.39 | 40 |
| 37.54 | 20 |

Structural model:
```
data_Li6MnO6
_chemical_formula_sum 'Li6 Mn1 O6'
_space_group_name_H-M_alt 'P -1'
_space_group_IT_number 2
_space_group_name_Hall '-P 1'
_cell_length_a 5.435
_cell_length_b 5.458
_cell_length_c 5.467
_cell_angle_alpha 64.06
_cell_angle_beta 64.05
_cell_angle_gamma 64.11
loop_
_atom_site_label
_atom_site_fract_x
_atom_site_fract_y
_atom_site_fract_z
_atom_site_occupancy
Li1 0.006 0.422 0.286 1
Li2 0.218 0.995 0.078 1
Li3 0.423 0.785 0.507 1
Mn1 0.500 0.500 0.000 1
O1 0.145 0.701 0.909 1
O2 0.297 0.594 0.352 1
O3 0.410 0.146 0.205 1
```